Entry 1:
For Sm4Dy5In, a cell relaxed with GGA-PBE gives the simulated X-ray diffraction stick pattern in this record (copper Kα).
Intensities are scaled so that the largest is 100.

Structural model:
Cell: 8.0945 8.0945 8.0945 Å, 97.45 97.45 137.79°
Positions (direct):
Sm1 0.0000 0.3122 0.3122
Sm2 0.0000 0.6878 0.6878
Sm3 0.3122 0.0000 0.3122
Sm4 0.6878 0.0000 0.6878
Dy1 0.2091 0.2091 0.0000
Dy2 0.3118 0.3118 0.6299
Dy3 0.3118 0.6819 0.0000
Dy4 0.6819 0.3118 0.0000
Dy5 0.6819 0.6819 0.3701
In1 0.7256 0.7256 0.0000

The 6 most intense peaks (2θ = 10–80°), in order of rising 2θ:
3.038 Å, 2θ 29.40, intensity 100
2.915 Å, 2θ 30.67, intensity 15
2.559 Å, 2θ 35.07, intensity 17
2.517 Å, 2θ 35.67, intensity 41
1.706 Å, 2θ 53.74, intensity 16
1.536 Å, 2θ 60.26, intensity 17

=====

Entry 2:
For Sm4Dy5In, a cell relaxed with GGA-PBE gives the simulated X-ray diffraction stick pattern in this record (copper Kα).
Intensities are scaled so that the largest is 100.

Structural model:
Cell: 4.1498 4.1498 18.2054 Å, 90.00 90.00 90.00°
Positions (direct):
Sm1 0.0000 0.0000 0.1018
Sm2 0.0000 0.0000 0.3036
Sm3 0.0000 0.0000 0.6964
Sm4 0.0000 0.0000 0.8982
Dy1 0.5000 0.5000 0.0000
Dy2 0.5000 0.5000 0.2066
Dy3 0.5000 0.5000 0.4117
Dy4 0.5000 0.5000 0.5883
Dy5 0.5000 0.5000 0.7934
In1 0.0000 0.0000 0.5000

The 6 most intense peaks (2θ = 10–80°), in order of rising 2θ:
2.934 Å, 2θ 30.46, intensity 63
2.737 Å, 2θ 32.72, intensity 100
2.075 Å, 2θ 43.62, intensity 24
1.653 Å, 2θ 55.58, intensity 45
1.547 Å, 2θ 59.78, intensity 16
1.368 Å, 2θ 68.58, intensity 11

=====

Entry 3:
For Sm2Dy3In2, a cell relaxed with GGA-PBE gives the simulated X-ray diffraction stick pattern in this record (copper Kα).
Intensities are scaled so that the largest is 100.

Structural model:
Cell: 5.4265 5.4265 8.6782 Å, 108.25 108.25 60.06°
Positions (direct):
Sm1 0.0769 0.0769 0.2308
Sm2 0.9231 0.9231 0.7692
Dy1 0.3470 0.3470 0.0411
Dy2 0.5000 0.5000 0.5000
Dy3 0.6530 0.6530 0.9589
In1 0.2170 0.2170 0.6509
In2 0.7830 0.7830 0.3491

The 6 most intense peaks (2θ = 10–80°), in order of rising 2θ:
2.790 Å, 2θ 32.08, intensity 99
2.714 Å, 2θ 33.00, intensity 100
1.946 Å, 2θ 46.69, intensity 35
1.627 Å, 2θ 56.58, intensity 15
1.581 Å, 2θ 58.36, intensity 36
1.567 Å, 2θ 58.94, intensity 19

=====

Entry 4:
For Sm3DyIn3, a cell relaxed with GGA-PBE gives the simulated X-ray diffraction stick pattern in this record (copper Kα).
Intensities are scaled so that the largest is 100.

Structural model:
Cell: 9.5067 9.5067 5.2106 Å, 90.00 90.00 120.00°
Positions (direct):
Sm1 0.0016 0.7642 0.2500
Sm2 0.2358 0.2374 0.2500
Sm3 0.2374 0.0016 0.7500
Sm4 0.7626 0.9984 0.2500
Sm5 0.7642 0.7626 0.7500
Sm6 0.9984 0.2358 0.7500
Dy1 0.3333 0.6667 0.2500
Dy2 0.6667 0.3333 0.7500
In1 0.0715 0.6145 0.7500
In2 0.3855 0.4570 0.7500
In3 0.4570 0.0715 0.2500
In4 0.5430 0.9285 0.7500
In5 0.6145 0.5430 0.2500
In6 0.9285 0.3855 0.2500

The 6 most intense peaks (2θ = 10–80°), in order of rising 2θ:
3.112 Å, 2θ 28.69, intensity 24
2.672 Å, 2θ 33.54, intensity 100
2.605 Å, 2θ 34.42, intensity 24
1.797 Å, 2θ 50.82, intensity 14
1.517 Å, 2θ 61.11, intensity 20
1.479 Å, 2θ 62.83, intensity 15

=====

Entry 5:
For Sm2Dy5In, a cell relaxed with GGA-PBE gives the simulated X-ray diffraction stick pattern in this record (copper Kα).
Intensities are scaled so that the largest is 100.

Structural model:
Cell: 10.7157 10.7157 10.7157 Å, 153.51 153.51 37.82°
Positions (direct):
Sm1 0.2454 0.2454 0.0000
Sm2 0.7546 0.7546 0.0000
Dy1 0.0000 0.0000 0.0000
Dy2 0.1200 0.6200 0.5000
Dy3 0.3800 0.8800 0.5000
Dy4 0.6200 0.1200 0.5000
Dy5 0.8800 0.3800 0.5000
In1 0.5000 0.5000 0.0000

The 6 most intense peaks (2θ = 10–80°), in order of rising 2θ:
2.865 Å, 2θ 31.22, intensity 100
2.534 Å, 2θ 35.42, intensity 17
2.455 Å, 2θ 36.60, intensity 33
1.763 Å, 2θ 51.85, intensity 23
1.519 Å, 2θ 60.99, intensity 14
1.485 Å, 2θ 62.56, intensity 28

=====

Entry 6:
For Sm4DyIn, a cell relaxed with GGA-PBE gives the simulated X-ray diffraction stick pattern in this record (copper Kα).
Intensities are scaled so that the largest is 100.

Structural model:
Cell: 4.1165 4.1165 11.2049 Å, 90.00 90.00 90.00°
Positions (direct):
Sm1 0.0000 0.0000 0.1474
Sm2 0.0000 0.0000 0.8526
Sm3 0.5000 0.5000 0.3332
Sm4 0.5000 0.5000 0.6668
Dy1 0.0000 0.0000 0.5000
In1 0.5000 0.5000 0.0000

The 6 most intense peaks (2θ = 10–80°), in order of rising 2θ:
2.911 Å, 2θ 30.72, intensity 60
2.766 Å, 2θ 32.37, intensity 100
2.058 Å, 2θ 43.99, intensity 22
1.651 Å, 2θ 55.66, intensity 43
1.572 Å, 2θ 58.74, intensity 16
1.383 Å, 2θ 67.75, intensity 10

=====

Entry 7:
For Sm3Dy2In6, a cell relaxed with GGA-PBE gives the simulated X-ray diffraction stick pattern in this record (copper Kα).
Intensities are scaled so that the largest is 100.

Structural model:
Cell: 11.9503 11.9503 11.9503 Å, 151.74 151.74 40.40°
Positions (direct):
Sm1 0.0000 0.0000 0.0000
Sm2 0.1482 0.1482 0.0000
Sm3 0.8518 0.8518 0.0000
Dy1 0.4252 0.4252 0.0000
Dy2 0.5748 0.5748 0.0000
In1 0.0706 0.5706 0.5000
In2 0.2881 0.2881 0.0000
In3 0.4294 0.9294 0.5000
In4 0.5706 0.0706 0.5000
In5 0.7119 0.7119 0.0000
In6 0.9294 0.4294 0.5000

The 6 most intense peaks (2θ = 10–80°), in order of rising 2θ:
4.126 Å, 2θ 21.54, intensity 32
2.918 Å, 2θ 30.64, intensity 100
2.808 Å, 2θ 31.86, intensity 87
2.063 Å, 2θ 43.89, intensity 37
2.023 Å, 2θ 44.79, intensity 72
1.663 Å, 2θ 55.25, intensity 21

=====

Entry 8:
For Sm3DyIn3, a cell relaxed with GGA-PBE gives the simulated X-ray diffraction stick pattern in this record (copper Kα).
Intensities are scaled so that the largest is 100.

Structural model:
Cell: 9.4491 9.4491 9.4491 Å, 90.00 90.00 90.00°
Positions (direct):
Sm1 0.0709 0.4291 0.5709
Sm2 0.1730 0.8270 0.3270
Sm3 0.1754 0.1754 0.1754
Sm4 0.3246 0.8246 0.6754
Sm5 0.3270 0.1730 0.8270
Sm6 0.4291 0.5709 0.0709
Sm7 0.5709 0.0709 0.4291
Sm8 0.6730 0.6730 0.6730
Sm9 0.6754 0.3246 0.8246
Sm10 0.8246 0.6754 0.3246
Sm11 0.8270 0.3270 0.1730
Sm12 0.9291 0.9291 0.9291
Dy1 0.0765 0.5765 0.9235
Dy2 0.4235 0.4235 0.4235
Dy3 0.5765 0.9235 0.0765
Dy4 0.9235 0.0765 0.5765
In1 0.0018 0.2543 0.8707
In2 0.1293 0.5018 0.2457
In3 0.2457 0.1293 0.5018
In4 0.2543 0.8707 0.0018
In5 0.3707 0.4982 0.7457
In6 0.4982 0.7457 0.3707
In7 0.5018 0.2457 0.1293
In8 0.6293 0.9982 0.7543
In9 0.7457 0.3707 0.4982
In10 0.7543 0.6293 0.9982
In11 0.8707 0.0018 0.2543
In12 0.9982 0.7543 0.6293

The 6 most intense peaks (2θ = 10–80°), in order of rising 2θ:
2.988 Å, 2θ 29.90, intensity 100
2.525 Å, 2θ 35.55, intensity 74
1.929 Å, 2θ 47.12, intensity 20
1.853 Å, 2θ 49.17, intensity 22
1.533 Å, 2θ 60.39, intensity 26
1.458 Å, 2θ 63.84, intensity 15

=====

Entry 9:
For Sm2DyIn2, a cell relaxed with GGA-PBE gives the simulated X-ray diffraction stick pattern in this record (copper Kα).
Intensities are scaled so that the largest is 100.

Structural model:
Cell: 6.0407 6.0407 6.0407 Å, 131.30 109.13 90.70°
Positions (direct):
Sm1 0.1936 0.1936 0.0000
Sm2 0.8064 0.8064 0.0000
Dy1 0.5000 0.0000 0.5000
In1 0.2111 0.5000 0.7111
In2 0.7889 0.5000 0.2889

The 6 most intense peaks (2θ = 10–80°), in order of rising 2θ:
2.934 Å, 2θ 30.47, intensity 100
2.715 Å, 2θ 33.00, intensity 91
2.624 Å, 2θ 34.17, intensity 25
2.490 Å, 2θ 36.07, intensity 39
1.801 Å, 2θ 50.69, intensity 20
1.460 Å, 2θ 63.74, intensity 47

=====

Entry 10:
For SmDy3In4, a cell relaxed with GGA-PBE gives the simulated X-ray diffraction stick pattern in this record (copper Kα).
Intensities are scaled so that the largest is 100.

Structural model:
Cell: 5.3459 5.3459 7.5264 Å, 90.00 90.00 90.00°
Positions (direct):
Sm1 0.0000 0.0000 0.0000
Dy1 0.0000 0.0000 0.5000
Dy2 0.5000 0.5000 0.0000
Dy3 0.5000 0.5000 0.5000
In1 0.0000 0.5000 0.2538
In2 0.0000 0.5000 0.7462
In3 0.5000 0.0000 0.2538
In4 0.5000 0.0000 0.7462

The 6 most intense peaks (2θ = 10–80°), in order of rising 2θ:
2.669 Å, 2θ 33.58, intensity 100
1.890 Å, 2θ 48.14, intensity 12
1.882 Å, 2θ 48.37, intensity 6
1.542 Å, 2θ 59.99, intensity 25
1.539 Å, 2θ 60.14, intensity 12
1.333 Å, 2θ 70.64, intensity 8

=====

Entry 11:
For Sm3Dy2In4, a cell relaxed with GGA-PBE gives the simulated X-ray diffraction stick pattern in this record (copper Kα).
Intensities are scaled so that the largest is 100.

Structural model:
Cell: 5.3395 5.3395 10.2973 Å, 90.07 90.07 60.06°
Positions (direct):
Sm1 0.0000 0.0000 0.0000
Sm2 0.3334 0.3334 0.5774
Sm3 0.6666 0.6666 0.4226
Dy1 0.3332 0.3332 0.2220
Dy2 0.6668 0.6668 0.7780
In1 0.0000 0.0000 0.3452
In2 0.0000 0.0000 0.6548
In3 0.3335 0.3335 0.8999
In4 0.6665 0.6665 0.1001

The 6 most intense peaks (2θ = 10–80°), in order of rising 2θ:
2.756 Å, 2θ 32.48, intensity 100
2.671 Å, 2θ 33.56, intensity 95
1.918 Å, 2θ 47.40, intensity 35
1.609 Å, 2θ 57.26, intensity 17
1.558 Å, 2θ 59.32, intensity 35
1.542 Å, 2θ 60.00, intensity 18

=====

Entry 12:
For SmDy6In6, a cell relaxed with GGA-PBE gives the simulated X-ray diffraction stick pattern in this record (copper Kα).
Intensities are scaled so that the largest is 100.

Structural model:
Cell: 6.2617 6.2617 10.7678 Å, 90.00 90.00 120.00°
Positions (direct):
Sm1 0.0000 0.0000 0.0000
Dy1 0.0000 0.0000 0.3386
Dy2 0.0000 0.0000 0.6614
Dy3 0.3333 0.6667 0.0000
Dy4 0.3333 0.6667 0.5000
Dy5 0.6667 0.3333 0.0000
Dy6 0.6667 0.3333 0.5000
In1 0.0000 0.5000 0.2456
In2 0.0000 0.5000 0.7544
In3 0.5000 0.0000 0.2456
In4 0.5000 0.0000 0.7544
In5 0.5000 0.5000 0.2456
In6 0.5000 0.5000 0.7544

The 6 most intense peaks (2θ = 10–80°), in order of rising 2θ:
3.131 Å, 2θ 28.51, intensity 49
2.993 Å, 2θ 29.85, intensity 27
2.708 Å, 2θ 33.08, intensity 100
2.422 Å, 2θ 37.13, intensity 66
1.565 Å, 2θ 59.01, intensity 27
1.557 Å, 2θ 59.36, intensity 29